Simulated PXRD pattern of RbMn2VCl8 for CuKα, from a DFT-relaxed cell (GGA-PBE, Alexandria).

Cell and atoms:
a = 11.1265 Å, b = 11.1265 Å, c = 11.1265 Å
α = 32.47°, β = 32.47°, γ = 32.47°
Positions (direct):
Rb  0.0000  0.0000  0.0000
Mn  0.2382  0.2382  0.2382
Mn  0.7618  0.7618  0.7618
V  0.5000  0.5000  0.5000
Cl  0.1576  0.4321  0.7599
Cl  0.2401  0.5679  0.8424
Cl  0.3104  0.3104  0.3104
Cl  0.4321  0.7599  0.1576
Cl  0.5679  0.8424  0.2401
Cl  0.6896  0.6896  0.6896
Cl  0.7599  0.1576  0.4321
Cl  0.8424  0.2401  0.5679

Principal peaks in the range 2θ from 15° to 90°, sorted by position:
19.95 deg, I 100; 25.37 deg, I 34; 28.70 deg, I 53; 29.95 deg, I 35; 45.11 deg, I 34; 50.83 deg, I 30

---

Simulated PXRD pattern of Mn2RhCl for CuKα, from a DFT-relaxed cell (GGA-PBE, Alexandria).

Cell and atoms:
a = 3.0947 Å, b = 3.0947 Å, c = 7.0290 Å
α = 90.00°, β = 90.00°, γ = 90.00°
Positions (direct):
Mn  0.0000  0.0000  0.2178
Mn  0.0000  0.0000  0.7822
Rh  0.5000  0.5000  0.0000
Cl  0.5000  0.5000  0.5000

Principal peaks in the range 2θ from 15° to 90°, sorted by position:
38.77 deg, I 100; 41.26 deg, I 45; 48.75 deg, I 16; 59.77 deg, I 14; 68.48 deg, I 13; 73.55 deg, I 27

---

Simulated PXRD pattern of MnS4Cl2 for CuKα, from a DFT-relaxed cell (GGA-PBE, Alexandria).

Cell and atoms:
a = 7.6188 Å, b = 7.6906 Å, c = 7.9377 Å
α = 68.05°, β = 69.75°, γ = 64.61°
Positions (direct):
Mn  0.0000  0.0000  0.0000
Mn  0.2816  0.3067  0.1661
S  0.0245  0.7817  0.3134
S  0.0252  0.7500  0.8958
S  0.1197  0.1966  0.6971
S  0.2110  0.0663  0.4913
S  0.2616  0.5368  0.3304
S  0.3003  0.5520  0.8910
S  0.5403  0.8580  0.5288
S  0.5668  0.9450  0.7127
Cl  0.0276  0.2457  0.1037
Cl  0.5177  0.6182  0.1975
Cl  0.6228  0.1222  0.0646
Cl  0.6699  0.1871  0.5752

Principal peaks in the range 2θ from 15° to 90°, sorted by position:
20.02 deg, I 59; 23.34 deg, I 63; 24.80 deg, I 67; 27.60 deg, I 100; 31.25 deg, I 95; 33.74 deg, I 70

---

Simulated PXRD pattern of MnSbS2Cl for CuKα, from a DFT-relaxed cell (GGA-PBE, Alexandria).

Cell and atoms:
a = 9.5281 Å, b = 3.8241 Å, c = 12.4650 Å
α = 90.00°, β = 90.00°, γ = 90.00°
Positions (direct):
Mn  0.0024  0.2500  0.2389
Mn  0.4976  0.7500  0.7389
Mn  0.5024  0.2500  0.2611
Mn  0.9976  0.7500  0.7611
Sb  0.1889  0.2500  0.5379
Sb  0.3111  0.7500  0.0379
Sb  0.6889  0.2500  0.9621
Sb  0.8111  0.7500  0.4621
S  0.0538  0.7500  0.3850
S  0.2416  0.7500  0.6766
S  0.2584  0.2500  0.1766
S  0.4462  0.2500  0.8850
S  0.5538  0.7500  0.1150
S  0.7416  0.7500  0.8234
S  0.7584  0.2500  0.3234
S  0.9462  0.2500  0.6150
Cl  0.0575  0.2500  0.8824
Cl  0.4425  0.7500  0.3824
Cl  0.5575  0.2500  0.6176
Cl  0.9425  0.7500  0.1176

Principal peaks in the range 2θ from 15° to 90°, sorted by position:
23.50 deg, I 63; 26.11 deg, I 48; 29.01 deg, I 46; 31.80 deg, I 100; 33.20 deg, I 79; 47.54 deg, I 82

---

Simulated PXRD pattern of Mn3SnCl8 for CuKα, from a DFT-relaxed cell (GGA-PBE, Alexandria).

Cell and atoms:
a = 7.7278 Å, b = 7.7278 Å, c = 7.8503 Å
α = 120.14°, β = 120.14°, γ = 60.00°
Positions (direct):
Mn  0.0000  0.0000  0.0000
Mn  0.0000  0.5000  0.0000
Mn  0.5000  0.0000  0.0000
Sn  0.5000  0.5000  0.0000
Cl  0.2133  0.7559  0.2206
Cl  0.2392  0.2392  0.2135
Cl  0.2441  0.2441  0.7795
Cl  0.2441  0.7867  0.7794
Cl  0.7559  0.2133  0.2206
Cl  0.7559  0.7559  0.2205
Cl  0.7608  0.7608  0.7865
Cl  0.7867  0.2441  0.7794

Principal peaks in the range 2θ from 15° to 90°, sorted by position:
27.01 deg, I 41; 32.52 deg, I 100; 32.85 deg, I 49; 42.48 deg, I 27; 46.75 deg, I 30; 47.04 deg, I 48

---

Simulated PXRD pattern of MnSn2Cl7 for CuKα, from a DFT-relaxed cell (GGA-PBE, Alexandria).

Cell and atoms:
a = 10.8501 Å, b = 10.8501 Å, c = 9.7652 Å
α = 116.23°, β = 116.23°, γ = 37.86°
Positions (direct):
Mn  0.1521  0.8479  0.7500
Mn  0.8479  0.1521  0.2500
Sn  0.0237  0.6596  0.9265
Sn  0.3404  0.9763  0.5735
Sn  0.6596  0.0237  0.4265
Sn  0.9763  0.3404  0.0735
Cl  0.0750  0.7522  0.4976
Cl  0.1673  0.8327  0.2500
Cl  0.2228  0.2484  0.3323
Cl  0.2484  0.2228  0.8323
Cl  0.2478  0.9250  0.0024
Cl  0.2702  0.5736  0.8132
Cl  0.4264  0.7298  0.6868
Cl  0.5736  0.2702  0.3132
Cl  0.7298  0.4264  0.1868
Cl  0.7522  0.0750  0.9976
Cl  0.7516  0.7772  0.1677
Cl  0.7772  0.7516  0.6677
Cl  0.8327  0.1673  0.7500
Cl  0.9250  0.2478  0.5024

Principal peaks in the range 2θ from 15° to 90°, sorted by position:
18.32 deg, I 100; 20.74 deg, I 54; 25.14 deg, I 27; 26.73 deg, I 69; 42.59 deg, I 19; 43.02 deg, I 52

---

Simulated PXRD pattern of MnVSnCl6 for CuKα, from a DFT-relaxed cell (GGA-PBE, Alexandria).

Cell and atoms:
a = 6.4881 Å, b = 6.4881 Å, c = 12.3998 Å
α = 90.00°, β = 90.00°, γ = 120.00°
Positions (direct):
Mn  0.3333  0.6667  0.2500
Mn  0.6667  0.3333  0.7500
V  0.3333  0.6667  0.7500
V  0.6667  0.3333  0.2500
Sn  0.0000  0.0000  0.0000
Sn  0.0000  0.0000  0.5000
Cl  0.0063  0.3661  0.6362
Cl  0.0063  0.6403  0.8638
Cl  0.3597  0.3661  0.8638
Cl  0.3597  0.9937  0.6362
Cl  0.3661  0.0063  0.1362
Cl  0.3661  0.3597  0.3638
Cl  0.6339  0.6403  0.6362
Cl  0.6339  0.9937  0.8638
Cl  0.6403  0.0063  0.3638
Cl  0.6403  0.6339  0.1362
Cl  0.9937  0.3597  0.1362
Cl  0.9937  0.6339  0.3638

Principal peaks in the range 2θ from 15° to 90°, sorted by position:
21.34 deg, I 100; 31.12 deg, I 41; 35.07 deg, I 25; 40.24 deg, I 65; 45.13 deg, I 29; 48.61 deg, I 29

---

Simulated PXRD pattern of Sr2MnCl6 for CuKα, from a DFT-relaxed cell (GGA-PBE, Alexandria).

Cell and atoms:
a = 6.5383 Å, b = 6.5383 Å, c = 12.6920 Å
α = 90.00°, β = 90.00°, γ = 90.00°
Positions (direct):
Sr  0.0000  0.0000  0.1664
Sr  0.0000  0.0000  0.8336
Sr  0.5000  0.5000  0.3336
Sr  0.5000  0.5000  0.6664
Mn  0.0000  0.0000  0.5000
Mn  0.5000  0.5000  0.0000
Cl  0.1860  0.1860  0.3517
Cl  0.1860  0.1860  0.6483
Cl  0.2171  0.2171  0.0000
Cl  0.2829  0.7171  0.5000
Cl  0.3140  0.6860  0.1483
Cl  0.3140  0.6860  0.8517
Cl  0.6860  0.3140  0.1483
Cl  0.6860  0.3140  0.8517
Cl  0.7171  0.2829  0.5000
Cl  0.7829  0.7829  0.0000
Cl  0.8140  0.8140  0.3517
Cl  0.8140  0.8140  0.6483

Principal peaks in the range 2θ from 15° to 90°, sorted by position:
19.20 deg, I 100; 25.07 deg, I 41; 28.60 deg, I 39; 37.39 deg, I 85; 38.96 deg, I 31; 46.89 deg, I 42

---

Simulated PXRD pattern of SrMn3Cl8 for CuKα, from a DFT-relaxed cell (GGA-PBE, Alexandria).

Cell and atoms:
a = 7.7685 Å, b = 7.7685 Å, c = 7.8469 Å
α = 120.12°, β = 120.12°, γ = 60.22°
Positions (direct):
Sr  0.0000  0.0000  0.0000
Mn  0.0000  0.5000  0.5000
Mn  0.5000  0.0000  0.5000
Mn  0.5000  0.5000  0.0000
Cl  0.2580  0.2580  0.2970
Cl  0.2580  0.7078  0.7466
Cl  0.2597  0.2597  0.7357
Cl  0.2922  0.7420  0.2534
Cl  0.7078  0.2580  0.7466
Cl  0.7403  0.7403  0.2643
Cl  0.7420  0.2922  0.2534
Cl  0.7420  0.7420  0.7030

Principal peaks in the range 2θ from 15° to 90°, sorted by position:
26.79 deg, I 33; 32.38 deg, I 100; 32.72 deg, I 49; 42.46 deg, I 25; 46.61 deg, I 48; 46.78 deg, I 29

---

Simulated PXRD pattern of TaMnCl4 for CuKα, from a DFT-relaxed cell (GGA-PBE, Alexandria).

Cell and atoms:
a = 5.6690 Å, b = 5.6690 Å, c = 5.6690 Å
α = 60.00°, β = 60.00°, γ = 60.00°
Positions (direct):
Ta  0.0000  0.0000  0.0000
Mn  0.2500  0.2500  0.2500
Cl  0.1234  0.6255  0.6255
Cl  0.6255  0.1234  0.6255
Cl  0.6255  0.6255  0.1234
Cl  0.6255  0.6255  0.6255

Principal peaks in the range 2θ from 15° to 90°, sorted by position:
19.17 deg, I 42; 22.18 deg, I 21; 31.56 deg, I 68; 37.20 deg, I 100; 56.21 deg, I 26; 59.95 deg, I 32

---

Simulated PXRD pattern of TbMnCl for CuKα, from a DFT-relaxed cell (GGA-PBE, Alexandria).

Cell and atoms:
a = 11.6197 Å, b = 11.6197 Å, c = 11.6197 Å
α = 18.74°, β = 18.74°, γ = 18.74°
Positions (direct):
Tb  0.0623  0.0623  0.0623
Tb  0.9377  0.9377  0.9377
Mn  0.3360  0.3360  0.3360
Mn  0.6640  0.6640  0.6640
Cl  0.2198  0.2198  0.2198
Cl  0.7802  0.7802  0.7802

Principal peaks in the range 2θ from 15° to 90°, sorted by position:
27.35 deg, I 54; 32.91 deg, I 100; 34.48 deg, I 61; 38.02 deg, I 28; 48.11 deg, I 46; 63.92 deg, I 22

---

Simulated PXRD pattern of MnTcCl4 for CuKα, from a DFT-relaxed cell (GGA-PBE, Alexandria).

Cell and atoms:
a = 5.8231 Å, b = 5.8231 Å, c = 5.8231 Å
α = 60.00°, β = 60.00°, γ = 60.00°
Positions (direct):
Mn  0.0000  0.0000  0.0000
Tc  0.7500  0.7500  0.7500
Cl  0.3749  0.3749  0.3749
Cl  0.3749  0.3749  0.8753
Cl  0.3749  0.8753  0.3749
Cl  0.8753  0.3749  0.3749

Principal peaks in the range 2θ from 15° to 90°, sorted by position:
30.71 deg, I 57; 36.18 deg, I 100; 37.85 deg, I 19; 54.60 deg, I 21; 58.21 deg, I 30; 63.95 deg, I 21

---

Simulated PXRD pattern of ThMnCl6 for CuKα, from a DFT-relaxed cell (GGA-PBE, Alexandria).

Cell and atoms:
a = 7.1289 Å, b = 7.1289 Å, c = 6.5255 Å
α = 97.78°, β = 97.78°, γ = 125.47°
Positions (direct):
Th  0.0000  0.0000  0.0000
Mn  0.5000  0.5000  0.5000
Cl  0.1253  0.4049  0.2649
Cl  0.2545  0.2545  0.7450
Cl  0.4049  0.1253  0.2649
Cl  0.5951  0.8747  0.7351
Cl  0.7455  0.7455  0.2550
Cl  0.8747  0.5951  0.7351

Principal peaks in the range 2θ from 15° to 90°, sorted by position:
15.83 deg, I 34; 18.28 deg, I 100; 24.02 deg, I 39; 31.33 deg, I 76; 40.59 deg, I 33; 46.95 deg, I 31